The following is a theoretical PXRD pattern of PrZr2TiN4. It was derived from the GGA-PBE geometry in Alexandria, using λ = 1.5418 Å (Cu Kα).

Principal peaks in the range 2θ = 5–70°, in order of falling intensity:
| h k l | Position (°2θ) | d_spacing | Rel. int. |
| --- | --- | --- | --- |
| 1 1 2 | 32.3 | 2.770 | 100 |
| 1 3 2 | 39.3 | 2.294 | 64 |
| 0 2 3 | 28.0 | 3.191 | 55 |
| 0 0 4 | 31.2 | 2.867 | 49 |
| 1 3 1 | 36.7 | 2.446 | 48 |
| 0 4 0 | 30.9 | 2.896 | 46 |
| 1 5 2 | 50.8 | 1.798 | 33 |
| 0 4 4 | 44.5 | 2.038 | 28 |
| 1 3 5 | 54.2 | 1.691 | 25 |
| 1 1 5 | 49.1 | 1.857 | 20 |

Structural model:
a = 3.288 Å, b = 11.584 Å, c = 11.470 Å
α = 90.00°, β = 90.00°, γ = 90.00°
Space group Cmcm (No. 63)
Asymmetric unit:
Pr 0.000 0.101 0.250 [4 per cell]
Zr 0.000 0.371 0.037 [8 per cell]
Ti 0.000 0.162 0.750 [4 per cell]
N 0.000 0.000 0.000 [4 per cell]
N 0.000 0.262 0.617 [8 per cell]
N 0.000 0.437 0.250 [4 per cell]